Entry 1:
# MgTe2Mo3WSe4S2
Calculated powder diffraction line list, CuKα. Input: a structure optimized by DFT (PBE).
No peak broadening, texture or thermal motion is included.

Top 10 peaks for 2θ = 5–70°, in order of rising 2θ:
2θ/deg, Rel. int., (hkl)
5.94, 41, 0 0 3
9.91, 100, 0 0 5
11.90, 19, 0 0 6
30.91, 22, 1 0 0
32.52, 12, 1 0 5
34.92, 30, 0 1 8
37.02, 15, 1 0 10
40.78, 38, 1 0 13
43.63, 10, 1 0 15
54.95, 16, 1 1 0

Structure:
```
MgTe2Mo3WSe4S2
1.0
3.342 0.000 0.000
-1.671 2.894 0.000
0.000 0.000 44.630
Mg Te Mo W Se S
1 2 3 1 4 2
Direct
0.000 0.000 0.000
0.333 0.667 0.229
0.333 0.667 0.314
0.333 0.667 0.089
0.333 0.667 0.708
0.667 0.333 0.271
0.667 0.333 0.888
0.333 0.667 0.851
0.333 0.667 0.926
0.667 0.333 0.670
0.667 0.333 0.745
0.667 0.333 0.054
0.667 0.333 0.123
```

Entry 2:
# MgTe2MoW2Se2S2
Calculated powder diffraction line list, CuKα. Input: a structure optimized by DFT (PBE).
No peak broadening, texture or thermal motion is included.

Top 10 peaks for 2θ = 5–70°, in order of rising 2θ:
2θ/deg, Rel. int., (hkl)
9.17, 100, 0 0 4
11.47, 24, 0 0 5
30.96, 18, 1 0 0
32.33, 11, 0 1 4
34.01, 14, 1 0 6
35.05, 13, 0 1 7
38.93, 15, 1 0 10
40.44, 23, 1 0 11
43.72, 8, 0 1 13
55.04, 12, 1 1 0

Structure:
```
MgTe2MoW2Se2S2
1.0
3.338 0.000 0.000
-1.669 2.891 0.000
0.000 0.000 38.577
Mg Te Mo W Se S
1 2 1 2 2 2
Direct
0.000 0.000 0.000
0.667 0.333 0.826
0.667 0.333 0.925
0.333 0.667 0.875
0.333 0.667 0.344
0.667 0.333 0.124
0.667 0.333 0.301
0.667 0.333 0.388
0.333 0.667 0.084
0.333 0.667 0.163
```

Entry 3:
# MgMoW3Se6S2
Calculated powder diffraction line list, CuKα. Input: a structure optimized by DFT (PBE).
No peak broadening, texture or thermal motion is included.

Top 10 peaks for 2θ = 5–70°, in order of rising 2θ:
2θ/deg, Rel. int., (hkl)
5.86, 24, 0 0 3
9.77, 100, 0 0 5
11.73, 17, 0 0 6
31.41, 14, 1 0 0
32.96, 12, 1 0 5
35.27, 23, 0 1 8
37.29, 11, 1 0 10
40.93, 28, 0 1 13
43.70, 10, 1 0 15
55.90, 11, 1 1 0

Structure:
```
MgMoW3Se6S2
1.0
3.290 0.000 0.000
-1.645 2.849 0.000
0.000 0.000 45.261
Mg Mo W Se S
1 1 3 6 2
Direct
0.000 0.000 0.000
0.667 0.333 0.899
0.333 0.667 0.101
0.333 0.667 0.717
0.667 0.333 0.281
0.333 0.667 0.244
0.333 0.667 0.318
0.333 0.667 0.862
0.333 0.667 0.936
0.667 0.333 0.680
0.667 0.333 0.755
0.667 0.333 0.067
0.667 0.333 0.135
```